Diffraction record for Tb4PuSb5. The X-ray diffraction stick pattern is calculated, not measured: it uses a crystal structure in Alexandria, relaxed with GGA-PBE and Cu Kα, 1.54184 Å.

Crystal structure
Unit cell a=4.4098 b=4.4098 c=31.1293 alpha=90.00 beta=90.00 gamma=90.00
Space group I4/mmm (No. 139)
Symmetry-distinct sites (fractional):
Tb: 0.0000 0.0000 0.1006 x4
Tb: 0.0000 0.0000 0.2998 x4
Pu: 0.0000 0.0000 0.5000 x2
Sb: 0.0000 0.0000 0.0000 x2
Sb: 0.0000 0.0000 0.2001 x4
Sb: 0.0000 0.0000 0.3998 x4

Principal peaks in the range 2θ = 10–90°, low angle first:
2theta, Rel. int., hkl
24.74, 6, 1 0 5
28.64, 100, 1 1 0
40.95, 77, 2 0 0
50.74, 27, 2 0 10
59.27, 9, 2 2 0
59.38, 4, 0 0 20
67.14, 24, 3 1 0
67.23, 12, 1 1 20
74.59, 26, 3 1 10
88.80, 9, 4 0 0

***

Diffraction record for LaPr6In6. The X-ray diffraction stick pattern is calculated, not measured: it uses a crystal structure in Alexandria, relaxed with GGA-PBE and Cu Kα, 1.54184 Å.

Crystal structure
Unit cell a=6.4132 b=6.4132 c=11.2825 alpha=90.00 beta=90.00 gamma=120.00
Space group P6/mmm (No. 191)
Symmetry-distinct sites (fractional):
La: 0.0000 0.0000 0.0000 x1
Pr: 0.0000 0.0000 0.3362 x2
Pr: 0.3333 0.6667 0.0000 x2
Pr: 0.3333 0.6667 0.5000 x2
In: 0.0000 0.5000 0.2455 x6

Principal peaks in the range 2θ = 10–90°, low angle first:
2theta, Rel. int., hkl
27.82, 58, 1 1 0
28.67, 37, 1 0 3
31.72, 38, 0 0 4
32.11, 92, 1 1 2
32.23, 50, 2 0 0
35.70, 31, 1 0 4
36.05, 100, 2 0 2
56.75, 41, 1 1 6
57.48, 38, 2 2 0
67.16, 26, 2 2 4

***

Please write out number 1 again, unchanged.
Diffraction record for Tb4PuSb5. The X-ray diffraction stick pattern is calculated, not measured: it uses a crystal structure in Alexandria, relaxed with GGA-PBE and Cu Kα, 1.54184 Å.

Crystal structure
Unit cell a=4.4098 b=4.4098 c=31.1293 alpha=90.00 beta=90.00 gamma=90.00
Space group I4/mmm (No. 139)
Symmetry-distinct sites (fractional):
Tb: 0.0000 0.0000 0.1006 x4
Tb: 0.0000 0.0000 0.2998 x4
Pu: 0.0000 0.0000 0.5000 x2
Sb: 0.0000 0.0000 0.0000 x2
Sb: 0.0000 0.0000 0.2001 x4
Sb: 0.0000 0.0000 0.3998 x4

Principal peaks in the range 2θ = 10–90°, low angle first:
2theta, Rel. int., hkl
24.74, 6, 1 0 5
28.64, 100, 1 1 0
40.95, 77, 2 0 0
50.74, 27, 2 0 10
59.27, 9, 2 2 0
59.38, 4, 0 0 20
67.14, 24, 3 1 0
67.23, 12, 1 1 20
74.59, 26, 3 1 10
88.80, 9, 4 0 0